This entry pairs a crystal structure of SiO2 with its simulated powder diffractogram. Radiation: Cu Kα, 1.54184 Å. Structure: a structure optimized by DFT (PBE).
Intensities are scaled so that the largest is 100.

Principal peaks in the range 2θ from 10° to 90°, in order of falling intensity:
d 6.059, 14.6 deg, intensity 100.0, hkl 0 0 1; d 5.958, 14.9 deg, intensity 79.4, hkl 0 1 -1; d 4.475, 19.8 deg, intensity 27.2, hkl 1 0 0; d 4.410, 20.1 deg, intensity 27.0, hkl 1 -1 0; d 3.584, 24.8 deg, intensity 20.1, hkl -1 1 1; d 3.605, 24.7 deg, intensity 14.0, hkl 1 1 -1; d 2.498, 36.0 deg, intensity 13.4, hkl 1 2 -2; d 3.096, 28.8 deg, intensity 12.7, hkl 1 0 1; d 3.511, 25.4 deg, intensity 11.9, hkl 0 1 1; d 3.551, 25.1 deg, intensity 11.0, hkl 1 -1 1; d 3.028, 29.5 deg, intensity 9.1, hkl 1 -2 1; d 3.467, 25.7 deg, intensity 8.1, hkl 0 1 -2

Structure:
```
data_SiO2
_chemical_formula_sum 'Si4 O8'
_space_group_name_H-M_alt 'P 1'
_space_group_IT_number 1
_space_group_name_Hall 'P 1'
_cell_length_a 4.9266
_cell_length_b 7.0554
_cell_length_c 7.1502
_cell_angle_alpha 114.06
_cell_angle_beta 104.07
_cell_angle_gamma 102.23
loop_
_atom_site_label
_atom_site_fract_x
_atom_site_fract_y
_atom_site_fract_z
Si1 0.0000 0.0000 0.0000
Si2 0.0017 0.4094 0.3482
Si3 0.6217 0.9846 0.2450
Si4 0.6363 0.7124 0.4886
O1 0.3354 0.0022 0.0921
O2 0.3487 0.5663 0.5074
O3 0.5214 0.8471 0.3657
O4 0.7884 0.8646 0.0829
O5 0.7946 0.5603 0.3449
O6 0.8595 0.2371 0.4293
O7 0.8814 0.8853 0.7344
O8 0.9961 0.2550 0.1004
```